Simulated powder diffractogram
Compound: CsNpGeBr6
Radiation: Cu Kα
Structure: a crystal structure in Alexandria, relaxed with GGA-PBE

Main lines, by angle (5° ≤ 2θ ≤ 70°):
d = 8.639 Å, 10.24 deg, rel. 33.8; d = 8.480 Å, 10.43 deg, rel. 55.7; d = 7.427 Å, 11.92 deg, rel. 36.5; d = 4.499 Å, 19.73 deg, rel. 100.0; d = 4.240 Å, 20.95 deg, rel. 40.6; d = 2.622 Å, 34.20 deg, rel. 46.7

Cell: 10.489 10.489 10.489 Å, 121.01 119.17 89.84°
Element x y z (fractional)
Cs  0.300  0.050  0.250
Cs  0.700  0.950  0.750
Np  0.000  0.500  0.500
Np  0.500  0.500  0.000
Ge  0.000  0.000  0.500
Ge  0.000  0.500  0.000
Br  0.060  0.810  0.250
Br  0.063  0.405  0.231
Br  0.063  0.833  0.658
Br  0.325  0.167  0.731
Br  0.325  0.595  0.158
Br  0.331  0.581  0.750
Br  0.669  0.419  0.250
Br  0.675  0.405  0.842
Br  0.675  0.833  0.269
Br  0.937  0.167  0.342
Br  0.937  0.595  0.769
Br  0.940  0.190  0.750